# Hg4PdAu
Computed PXRD pattern, Cu Kα. Input: the GGA-PBE geometry in Alexandria.
No peak broadening, texture or thermal motion is included.

Crystal structure
```
data_Hg4PdAu
_cell_length_a 6.034
_cell_length_b 9.840
_cell_length_c 4.883
_cell_angle_alpha 90.00
_cell_angle_beta 90.00
_cell_angle_gamma 90.00
_symmetry_space_group_name_H-M 'C m m m'
_symmetry_Int_Tables_number 65
_symmetry_space_group_name_Hall '-C 2 2'
loop_
_atom_site_label
_atom_site_fract_x
_atom_site_fract_y
_atom_site_fract_z
Hg1 0.245 0.000 0.000
Hg2 0.250 0.250 0.500
Pd1 0.000 0.000 0.500
Au1 0.000 0.500 0.500
```

Largest 8 diffraction maxima, in order of falling intensity, 15 to 90 degrees two-theta:
2θ/deg	intensity	(hkl)
39.61	100.0	2 2 1
36.53	31.2	0 4 0
36.82	30.5	0 0 2
25.71	30.2	0 2 1
67.80	25.2	2 6 1
52.83	21.9	0 4 2
68.19	20.6	2 2 3
18.03	13.7	0 2 0